Rb2SnHg6Pb: simulated X-ray diffraction stick pattern (Cu Ka), based on a cell relaxed with GGA-PBE.

Lattice parameters (Å, degrees): 8.3768 8.3768 8.3717 119.93 119.93 90.07
Fractional positions:
Rb 0.2500 0.7500 0.0000
Rb 0.7500 0.2500 0.0000
Sn 0.0000 0.0000 0.5000
Hg 0.2464 0.2464 0.5002
Hg 0.2465 0.7535 0.5000
Hg 0.2465 0.2465 0.9929
Hg 0.7535 0.7535 0.0071
Hg 0.7535 0.2465 0.5000
Hg 0.7536 0.7536 0.4998
Pb 0.5000 0.5000 0.5000

Peak list (10 most intense, 10 to 90 degrees two-theta, in order of rising 2θ)
- 5.925 Å, 2θ 14.95, I 53
- 3.421 Å, 2θ 26.05, I 73
- 2.963 Å, 2θ 30.16, I 100
- 2.650 Å, 2θ 33.83, I 31
- 2.095 Å, 2θ 43.18, I 76
- 1.975 Å, 2θ 45.95, I 17
- 1.787 Å, 2θ 51.11, I 29
- 1.711 Å, 2θ 53.58, I 27
- 1.325 Å, 2θ 71.13, I 24
- 1.210 Å, 2θ 79.15, I 13